# PmZnCoH6
Calculated PXRD pattern, λ = 1.5418 Å (Cu Kα). Input: the GGA-PBE geometry in Alexandria.

Largest 8 diffraction maxima, in order of falling intensity, 2θ from 10° to 90°:
2.880 Å, rel. 1000, (1 0 1)
2.206 Å, rel. 397, (1 1 0)
1.555 Å, rel. 262, (1 1 2)
1.751 Å, rel. 229, (2 0 1)
1.372 Å, rel. 199, (2 1 1)
3.821 Å, rel. 129, (1 0 0)
2.192 Å, rel. 125, (0 0 2)
1.365 Å, rel. 98, (1 0 3)

Atomic structure:
```
data_PmZnCoH6
_chemical_formula_sum 'Pm1 Zn1 Co1 H6'
_space_group_name_H-M_alt 'P -6 m 2'
_space_group_IT_number 187
_space_group_name_Hall 'P -6 2'
_cell_length_a 4.4120
_cell_length_b 4.4120
_cell_length_c 4.3833
_cell_angle_alpha 90.00
_cell_angle_beta 90.00
_cell_angle_gamma 120.00
loop_
_atom_site_label
_atom_site_type_symbol
_atom_site_fract_x
_atom_site_fract_y
_atom_site_fract_z
Pm1 Pm 0.0000 0.0000 0.0000
Zn1 Zn 0.3333 0.6667 0.5000
Co1 Co 0.6667 0.3333 0.5000
H1 H 0.5179 0.0357 0.2402
```

=====

# Pm2ZnCoH
Calculated PXRD pattern, λ = 1.5418 Å (Cu Kα). Input: the GGA-PBE geometry in Alexandria.

Largest 8 diffraction maxima, in order of falling intensity, 2θ from 10° to 90°:
2.811 Å, rel. 1000, (1 1 -2)
2.771 Å, rel. 846, (0 1 2)
3.453 Å, rel. 816, (1 1 0)
2.173 Å, rel. 564, (0 2 0)
2.326 Å, rel. 564, (2 1 -2)
2.260 Å, rel. 536, (1 1 2)
2.842 Å, rel. 535, (2 0 0)
2.645 Å, rel. 497, (1 0 2)

Atomic structure:
```
data_Pm2ZnCoH
_chemical_formula_sum 'Pm4 Zn2 Co2 H2'
_space_group_name_H-M_alt 'P 1 21/m 1'
_space_group_IT_number 11
_space_group_name_Hall '-P 2yb'
_cell_length_a 6.078
_cell_length_b 4.347
_cell_length_c 7.690
_cell_angle_alpha 90.00
_cell_angle_beta 110.73
_cell_angle_gamma 90.00
loop_
_atom_site_label
_atom_site_type_symbol
_atom_site_fract_x
_atom_site_fract_y
_atom_site_fract_z
Pm1 Pm 0.218 0.250 0.442
Pm2 Pm 0.236 0.250 0.922
Zn1 Zn 0.348 0.750 0.224
Co1 Co 0.400 0.750 0.724
H1 H 0.170 0.750 0.785
```

=====

# PrZnCo2H8
Calculated PXRD pattern, λ = 1.5418 Å (Cu Kα). Input: the GGA-PBE geometry in Alexandria.

Largest 8 diffraction maxima, in order of falling intensity, 2θ from 10° to 90°:
2.243 Å, rel. 1000, (1 1 0)
2.834 Å, rel. 984, (1 0 4)
1.741 Å, rel. 572, (2 -1 6)
3.782 Å, rel. 463, (1 0 1)
2.522 Å, rel. 445, (0 1 5)
2.763 Å, rel. 381, (0 0 6)
3.517 Å, rel. 375, (0 1 2)
1.525 Å, rel. 281, (1 0 10)

Atomic structure:
```
data_PrZnCo2H8
_chemical_formula_sum 'Pr3 Zn3 Co6 H24'
_space_group_name_H-M_alt 'R -3'
_space_group_IT_number 148
_space_group_name_Hall '-R 3'
_cell_length_a 4.4857
_cell_length_b 4.4857
_cell_length_c 16.5755
_cell_angle_alpha 90.00
_cell_angle_beta 90.00
_cell_angle_gamma 120.00
loop_
_atom_site_label
_atom_site_type_symbol
_atom_site_fract_x
_atom_site_fract_y
_atom_site_fract_z
Pr1 Pr 0.0000 0.0000 0.0000
Zn1 Zn 0.0000 0.0000 0.5000
Co1 Co 0.0000 0.0000 0.1962
H1 H 0.0000 0.0000 0.2948
H2 H 0.0230 0.2801 0.8790
```

=====

# Co8H4Pt
Calculated PXRD pattern, λ = 1.5418 Å (Cu Kα). Input: the GGA-PBE geometry in Alexandria.

Largest 8 diffraction maxima, in order of falling intensity, 2θ from 10° to 90°:
2.041 Å, rel. 1000, (3 1 0)
1.940 Å, rel. 909, (3 1 -3)
2.088 Å, rel. 714, (6 0 -3)
2.249 Å, rel. 559, (1 1 1)
2.028 Å, rel. 490, (2 0 -4)
1.931 Å, rel. 466, (4 0 1)
6.699 Å, rel. 381, (0 0 1)
1.105 Å, rel. 336, (7 1 1)

Atomic structure:
```
data_Co8H4Pt
_chemical_formula_sum 'Co16 H8 Pt2'
_space_group_name_H-M_alt 'C 1 2/m 1'
_space_group_IT_number 12
_space_group_name_Hall '-C 2y'
_cell_length_a 12.619
_cell_length_b 2.622
_cell_length_c 8.669
_cell_angle_alpha 90.00
_cell_angle_beta 129.40
_cell_angle_gamma 90.00
loop_
_atom_site_label
_atom_site_type_symbol
_atom_site_fract_x
_atom_site_fract_y
_atom_site_fract_z
Co1 Co 0.037 0.000 0.234
Co2 Co 0.127 0.500 0.091
Co3 Co 0.168 0.500 0.836
Co4 Co 0.207 0.500 0.578
H1 H 0.149 0.000 0.965
H2 H 0.165 0.500 0.332
Pt1 Pt 0.000 0.000 0.500
```

=====

# Co2H2Pt
Calculated PXRD pattern, λ = 1.5418 Å (Cu Kα). Input: the GGA-PBE geometry in Alexandria.

Largest 8 diffraction maxima, in order of falling intensity, 2θ from 10° to 90°:
2.070 Å, rel. 1000, (1 0 3)
2.278 Å, rel. 658, (1 1 0)
2.994 Å, rel. 492, (1 0 1)
1.271 Å, rel. 396, (2 1 3)
1.611 Å, rel. 225, (2 0 0)
4.051 Å, rel. 209, (0 0 2)
1.162 Å, rel. 149, (1 1 6)
1.986 Å, rel. 146, (1 1 2)

Atomic structure:
```
data_Co2H2Pt
_chemical_formula_sum 'Co4 H4 Pt2'
_space_group_name_H-M_alt 'I 4/m m m'
_space_group_IT_number 139
_space_group_name_Hall '-I 4 2'
_cell_length_a 3.222
_cell_length_b 3.222
_cell_length_c 8.102
_cell_angle_alpha 90.00
_cell_angle_beta 90.00
_cell_angle_gamma 90.00
loop_
_atom_site_label
_atom_site_type_symbol
_atom_site_fract_x
_atom_site_fract_y
_atom_site_fract_z
Co1 Co 0.000 0.000 0.171
H1 H 0.000 0.500 0.250
Pt1 Pt 0.000 0.000 0.500
```

=====

# ScCoHPt2
Calculated PXRD pattern, λ = 1.5418 Å (Cu Kα). Input: the GGA-PBE geometry in Alexandria.

Largest 8 diffraction maxima, in order of falling intensity, 2θ from 10° to 90°:
2.293 Å, rel. 1000, (1 1 1)
2.001 Å, rel. 336, (2 0 0)
3.912 Å, rel. 321, (0 0 1)
2.830 Å, rel. 280, (1 1 0)
1.204 Å, rel. 254, (3 1 1)
1.399 Å, rel. 208, (2 0 2)
1.781 Å, rel. 157, (2 0 1)
1.956 Å, rel. 157, (0 0 2)

Atomic structure:
```
data_ScCoHPt2
_chemical_formula_sum 'Sc1 Co1 H1 Pt2'
_space_group_name_H-M_alt 'P 4/m m m'
_space_group_IT_number 123
_space_group_name_Hall '-P 4 2'
_cell_length_a 4.002
_cell_length_b 4.002
_cell_length_c 3.912
_cell_angle_alpha 90.00
_cell_angle_beta 90.00
_cell_angle_gamma 90.00
loop_
_atom_site_label
_atom_site_type_symbol
_atom_site_fract_x
_atom_site_fract_y
_atom_site_fract_z
Sc1 Sc 0.000 0.000 0.000
Co1 Co 0.500 0.500 0.000
H1 H 0.500 0.500 0.500
Pt1 Pt 0.000 0.500 0.500
```

=====

# Pu3CoH6
Calculated PXRD pattern, λ = 1.5418 Å (Cu Kα). Input: the GGA-PBE geometry in Alexandria.

Largest 8 diffraction maxima, in order of falling intensity, 2θ from 10° to 90°:
2.721 Å, rel. 1000, (2 2 1)
3.901 Å, rel. 248, (1 1 1)
2.542 Å, rel. 235, (0 4 0)
2.423 Å, rel. 229, (0 0 2)
1.754 Å, rel. 161, (0 4 2)
1.450 Å, rel. 152, (2 2 3)
2.765 Å, rel. 145, (3 1 0)
1.500 Å, rel. 136, (2 6 1)

Atomic structure:
```
data_Pu3CoH6
_chemical_formula_sum 'Pu12 Co4 H24'
_space_group_name_H-M_alt 'C m c m'
_space_group_IT_number 63
_space_group_name_Hall '-C 2c 2'
_cell_length_a 8.620
_cell_length_b 10.168
_cell_length_c 4.846
_cell_angle_alpha 90.00
_cell_angle_beta 90.00
_cell_angle_gamma 90.00
loop_
_atom_site_label
_atom_site_type_symbol
_atom_site_fract_x
_atom_site_fract_y
_atom_site_fract_z
Pu1 Pu 0.000 0.143 0.250
Pu2 Pu 0.206 0.381 0.250
Co1 Co 0.000 0.351 0.750
H1 H 0.000 0.190 0.750
H2 H 0.000 0.500 0.000
H3 H 0.132 0.000 0.000
H4 H 0.195 0.359 0.750
```

=====

# PuCo2H8
Calculated PXRD pattern, λ = 1.5418 Å (Cu Kα). Input: the GGA-PBE geometry in Alexandria.

Largest 8 diffraction maxima, in order of falling intensity, 2θ from 10° to 90°:
3.673 Å, rel. 1000, (1 0 1)
2.448 Å, rel. 829, (1 1 2)
2.595 Å, rel. 655, (0 0 4)
1.566 Å, rel. 395, (2 0 4)
1.732 Å, rel. 265, (2 1 1)
1.964 Å, rel. 206, (2 0 0)
1.835 Å, rel. 191, (1 0 5)
1.208 Å, rel. 174, (3 1 2)

Atomic structure:
```
data_PuCo2H8
_chemical_formula_sum 'Pu2 Co4 H16'
_space_group_name_H-M_alt 'I 4/m m m'
_space_group_IT_number 139
_space_group_name_Hall '-I 4 2'
_cell_length_a 3.927
_cell_length_b 3.927
_cell_length_c 10.378
_cell_angle_alpha 90.00
_cell_angle_beta 90.00
_cell_angle_gamma 90.00
loop_
_atom_site_label
_atom_site_type_symbol
_atom_site_fract_x
_atom_site_fract_y
_atom_site_fract_z
Pu1 Pu 0.000 0.000 0.000
Co1 Co 0.000 0.500 0.250
H1 H 0.226 0.226 0.338
```

=====

# Rb2Co2H
Calculated PXRD pattern, λ = 1.5418 Å (Cu Kα). Input: the GGA-PBE geometry in Alexandria.

Largest 8 diffraction maxima, in order of falling intensity, 2θ from 10° to 90°:
3.253 Å, rel. 1000, (2 0 0)
2.231 Å, rel. 480, (2 0 2)
2.300 Å, rel. 375, (2 2 0)
3.066 Å, rel. 298, (0 0 2)
1.840 Å, rel. 261, (2 2 2)
1.455 Å, rel. 240, (4 2 0)
1.314 Å, rel. 167, (4 2 2)
4.462 Å, rel. 132, (1 0 1)

Atomic structure:
```
data_Rb2Co2H
_chemical_formula_sum 'Rb4 Co4 H2'
_space_group_name_H-M_alt 'I 4/m m m'
_space_group_IT_number 139
_space_group_name_Hall '-I 4 2'
_cell_length_a 6.505
_cell_length_b 6.505
_cell_length_c 6.133
_cell_angle_alpha 90.00
_cell_angle_beta 90.00
_cell_angle_gamma 90.00
loop_
_atom_site_label
_atom_site_type_symbol
_atom_site_fract_x
_atom_site_fract_y
_atom_site_fract_z
Rb1 Rb 0.000 0.500 0.250
Co1 Co 0.000 0.000 0.179
H1 H 0.000 0.000 0.500
```

=====

# RbCo2H8
Calculated PXRD pattern, λ = 1.5418 Å (Cu Kα). Input: the GGA-PBE geometry in Alexandria.

Largest 8 diffraction maxima, in order of falling intensity, 2θ from 10° to 90°:
3.248 Å, rel. 1000, (1 1 1)
3.138 Å, rel. 519, (0 2 1)
2.270 Å, rel. 374, (1 3 0)
2.689 Å, rel. 319, (0 0 2)
1.734 Å, rel. 314, (1 3 2)
2.397 Å, rel. 233, (2 0 0)
1.905 Å, rel. 232, (2 2 1)
1.789 Å, rel. 174, (2 0 2)

Atomic structure:
```
data_RbCo2H8
_chemical_formula_sum 'Rb2 Co4 H16'
_space_group_name_H-M_alt 'C m m 2'
_space_group_IT_number 35
_space_group_name_Hall 'C 2 -2'
_cell_length_a 4.795
_cell_length_b 7.729
_cell_length_c 5.378
_cell_angle_alpha 90.00
_cell_angle_beta 90.00
_cell_angle_gamma 90.00
loop_
_atom_site_label
_atom_site_type_symbol
_atom_site_fract_x
_atom_site_fract_y
_atom_site_fract_z
Rb1 Rb 0.000 0.000 0.000
Co1 Co 0.000 0.329 0.509
H1 H 0.000 0.317 0.784
H2 H 0.000 0.500 0.318
H3 H 0.000 0.500 0.685
H4 H 0.163 0.147 0.489
```

=====

# CoReH3
Calculated PXRD pattern, λ = 1.5418 Å (Cu Kα). Input: the GGA-PBE geometry in Alexandria.

Largest 7 diffraction maxima, in order of falling intensity, 2θ from 10° to 90°:
2.254 Å, rel. 1000, (1 1 0)
1.301 Å, rel. 340, (2 1 1)
3.187 Å, rel. 303, (1 0 0)
1.594 Å, rel. 173, (2 0 0)
1.425 Å, rel. 126, (2 1 0)
1.127 Å, rel. 111, (2 2 0)
1.840 Å, rel. 98, (1 1 1)

Atomic structure:
```
data_CoReH3
_chemical_formula_sum 'Co1 Re1 H3'
_space_group_name_H-M_alt 'P m -3 m'
_space_group_IT_number 221
_space_group_name_Hall '-P 4 2 3'
_cell_length_a 3.187
_cell_length_b 3.187
_cell_length_c 3.187
_cell_angle_alpha 90.00
_cell_angle_beta 90.00
_cell_angle_gamma 90.00
loop_
_atom_site_label
_atom_site_type_symbol
_atom_site_fract_x
_atom_site_fract_y
_atom_site_fract_z
Co1 Co 0.000 0.000 0.000
Re1 Re 0.500 0.500 0.500
H1 H 0.000 0.000 0.500
```

=====

# Sm2CoH6Rh
Calculated PXRD pattern, λ = 1.5418 Å (Cu Kα). Input: the GGA-PBE geometry in Alexandria.

Largest 8 diffraction maxima, in order of falling intensity, 2θ from 10° to 90°:
2.572 Å, rel. 1000, (2 0 2)
2.561 Å, rel. 494, (2 2 0)
1.487 Å, rel. 182, (2 2 4)
1.482 Å, rel. 180, (2 4 2)
1.480 Å, rel. 179, (4 2 2)
1.827 Å, rel. 93, (0 0 4)
1.814 Å, rel. 91, (0 4 0)
1.808 Å, rel. 90, (4 0 0)

Atomic structure:
```
data_Sm2CoH6Rh
_chemical_formula_sum 'Sm8 Co4 H24 Rh4'
_space_group_name_H-M_alt 'F m m m'
_space_group_IT_number 69
_space_group_name_Hall '-F 2 2'
_cell_length_a 7.232
_cell_length_b 7.256
_cell_length_c 7.308
_cell_angle_alpha 90.00
_cell_angle_beta 90.00
_cell_angle_gamma 90.00
loop_
_atom_site_label
_atom_site_type_symbol
_atom_site_fract_x
_atom_site_fract_y
_atom_site_fract_z
Sm1 Sm 0.250 0.250 0.250
Co1 Co 0.000 0.000 0.000
H1 H 0.000 0.000 0.235
H2 H 0.000 0.236 0.000
H3 H 0.237 0.000 0.000
Rh1 Rh 0.000 0.000 0.500
```